Record 1
Computed XRD peak list of Al6Ge5 for copper Kα, from a DFT-relaxed cell (PBE, the Materials Project).

Main lines, low angle first (10 to 90 degrees two-theta):
- 2θ = 26.79°, intensity 100
- 2θ = 27.55°, intensity 42
- 2θ = 28.11°, intensity 27
- 2θ = 31.77°, intensity 25
- 2θ = 38.81°, intensity 48
- 2θ = 45.01°, intensity 22
- 2θ = 47.32°, intensity 36
- 2θ = 47.79°, intensity 45

Structure:
Lattice parameters (Å, degrees): 7.721 7.721 7.721 96.57 96.57 96.57
Positions (direct):
Al: 0.016 0.331 0.928
Al: 0.072 0.984 0.669
Al: 0.169 0.484 0.572
Al: 0.331 0.928 0.016
Al: 0.428 0.831 0.516
Al: 0.484 0.572 0.169
Al: 0.516 0.428 0.831
Al: 0.572 0.169 0.484
Al: 0.669 0.072 0.984
Al: 0.831 0.516 0.428
Al: 0.928 0.016 0.331
Al: 0.984 0.669 0.072
Ge: 0.102 0.750 0.398
Ge: 0.143 0.143 0.143
Ge: 0.250 0.602 0.898
Ge: 0.357 0.357 0.357
Ge: 0.398 0.102 0.750
Ge: 0.602 0.898 0.250
Ge: 0.643 0.643 0.643
Ge: 0.750 0.398 0.102
Ge: 0.857 0.857 0.857
Ge: 0.898 0.250 0.602

Record 2
Computed XRD peak list of BaCu2Sb2 for copper Kα, from a DFT-relaxed cell (PBE, the Materials Project).

Main lines, low angle first (10 to 90 degrees two-theta):
- 2θ = 31.24°, intensity 64
- 2θ = 31.65°, intensity 100
- 2θ = 38.45°, intensity 72
- 2θ = 43.10°, intensity 26
- 2θ = 46.10°, intensity 27
- 2θ = 50.34°, intensity 34
- 2θ = 55.50°, intensity 25
- 2θ = 65.31°, intensity 24

Structure:
Lattice parameters (Å, degrees): 4.683 4.683 10.854 90.00 90.00 90.00
Positions (direct):
Ba: 0.250 0.250 0.239
Ba: 0.750 0.750 0.761
Cu: 0.250 0.250 0.631
Cu: 0.250 0.750 0.000
Cu: 0.750 0.250 0.000
Cu: 0.750 0.750 0.369
Sb: 0.250 0.250 0.874
Sb: 0.250 0.750 0.500
Sb: 0.750 0.250 0.500
Sb: 0.750 0.750 0.126

Record 3
Computed XRD peak list of KLaMg6O8 for copper Kα, from a DFT-relaxed cell (PBE, the Materials Project).

Main lines, low angle first (10 to 90 degrees two-theta):
- 2θ = 19.15°, intensity 71
- 2θ = 21.45°, intensity 40
- 2θ = 27.21°, intensity 59
- 2θ = 33.49°, intensity 53
- 2θ = 38.73°, intensity 46
- 2θ = 38.93°, intensity 100
- 2θ = 56.08°, intensity 56
- 2θ = 56.23°, intensity 30

Structure:
Lattice parameters (Å, degrees): 4.627 4.627 9.300 90.00 90.00 90.00
Positions (direct):
K: 0.000 0.000 0.000
La: 0.000 0.000 0.500
Mg: 0.000 0.500 0.224
Mg: 0.000 0.500 0.776
Mg: 0.500 0.000 0.224
Mg: 0.500 0.000 0.776
Mg: 0.500 0.500 0.000
Mg: 0.500 0.500 0.500
O: 0.000 0.000 0.254
O: 0.000 0.000 0.746
O: 0.000 0.500 0.000
O: 0.000 0.500 0.500
O: 0.500 0.000 0.000
O: 0.500 0.000 0.500
O: 0.500 0.500 0.249
O: 0.500 0.500 0.751

Record 4
Computed XRD peak list of Zr4Co4Ge7 for copper Kα, from a DFT-relaxed cell (PBE, the Materials Project).

Main lines, low angle first (10 to 90 degrees two-theta):
- 2θ = 34.15°, intensity 14
- 2θ = 37.95°, intensity 100
- 2θ = 38.33°, intensity 16
- 2θ = 40.52°, intensity 45
- 2θ = 40.75°, intensity 23
- 2θ = 45.06°, intensity 12
- 2θ = 46.14°, intensity 14
- 2θ = 63.67°, intensity 21

Structure:
Lattice parameters (Å, degrees): 9.754 9.754 9.754 94.15 94.15 148.77
Positions (direct):
Zr: 0.000 0.196 0.196
Zr: 0.000 0.804 0.804
Zr: 0.196 0.000 0.196
Zr: 0.361 0.361 0.723
Zr: 0.361 0.639 0.000
Zr: 0.639 0.361 0.000
Zr: 0.639 0.639 0.277
Zr: 0.804 0.000 0.804
Co: 0.102 0.602 0.203
Co: 0.102 0.898 0.500
Co: 0.398 0.602 0.500
Co: 0.398 0.898 0.797
Co: 0.602 0.102 0.203
Co: 0.602 0.398 0.500
Co: 0.898 0.102 0.500
Co: 0.898 0.398 0.797
Ge: 0.000 0.406 0.406
Ge: 0.000 0.594 0.594
Ge: 0.207 0.500 0.707
Ge: 0.208 0.208 0.416
Ge: 0.208 0.792 0.000
Ge: 0.251 0.251 0.000
Ge: 0.406 0.000 0.406
Ge: 0.500 0.207 0.707
Ge: 0.500 0.793 0.293
Ge: 0.594 0.000 0.594
Ge: 0.749 0.749 0.000
Ge: 0.792 0.208 0.000
Ge: 0.792 0.792 0.584
Ge: 0.793 0.500 0.293

Record 5
Computed XRD peak list of YPd2 for copper Kα, from a DFT-relaxed cell (PBE, the Materials Project).

Main lines, low angle first (10 to 90 degrees two-theta):
- 2θ = 20.82°, intensity 21
- 2θ = 24.90°, intensity 28
- 2θ = 32.13°, intensity 14
- 2θ = 38.60°, intensity 100
- 2θ = 42.36°, intensity 19
- 2θ = 46.08°, intensity 30
- 2θ = 64.38°, intensity 21
- 2θ = 80.29°, intensity 23

Structure:
Lattice parameters (Å, degrees): 5.096 5.096 5.096 134.52 134.52 66.27
Positions (direct):
Y: 0.000 0.000 0.000
Pd: 0.250 0.750 0.500
Pd: 0.750 0.250 0.500

Record 6
Computed XRD peak list of TbU3 for copper Kα, from a DFT-relaxed cell (PBE, the Materials Project).

Main lines, low angle first (10 to 90 degrees two-theta):
- 2θ = 34.41°, intensity 100
- 2θ = 37.97°, intensity 19
- 2θ = 40.89°, intensity 31
- 2θ = 57.02°, intensity 24
- 2θ = 59.21°, intensity 11
- 2θ = 66.32°, intensity 16
- 2θ = 70.31°, intensity 27
- 2θ = 72.53°, intensity 12

Structure:
Lattice parameters (Å, degrees): 5.675 5.675 5.675 134.22 134.22 66.74
Positions (direct):
Tb: 0.000 0.000 0.000
U: 0.250 0.750 0.500
U: 0.500 0.500 0.000
U: 0.750 0.250 0.500

Record 7
Computed XRD peak list of LaCo5H4 for copper Kα, from a DFT-relaxed cell (PBE, the Materials Project).

Main lines, low angle first (10 to 90 degrees two-theta):
- 2θ = 29.28°, intensity 36
- 2θ = 29.83°, intensity 44
- 2θ = 34.36°, intensity 27
- 2θ = 38.74°, intensity 62
- 2θ = 39.91°, intensity 60
- 2θ = 41.17°, intensity 100
- 2θ = 44.85°, intensity 43
- 2θ = 60.73°, intensity 31

Structure:
Lattice parameters (Å, degrees): 5.226 5.226 4.042 90.00 90.00 117.18
Positions (direct):
La: 0.000 0.000 0.000
Co: 0.000 0.500 0.500
Co: 0.365 0.635 0.000
Co: 0.500 0.000 0.500
Co: 0.500 0.500 0.500
Co: 0.635 0.365 0.000
H: 0.000 0.500 0.000
H: 0.147 0.853 0.500
H: 0.500 0.000 0.000
H: 0.853 0.147 0.500